Starting from a structure optimized by DFT (GGA+U), the X-ray powder pattern of Li6V3W3O16 was simulated for Cu Kα.
Kinematic intensities with the Lorentz-polarization factor, no thermal factor.

Cell and atoms:
```
Li6V3W3O16
1.0
6.0730 0.0000 0.0000
2.9327 5.3231 0.0000
0.2178 0.1236 10.1327
Li V W O
6 3 3 16
Direct
0.0000 0.0000 0.0000
0.0047 0.0035 0.6344
0.3244 0.3385 0.4888
0.3351 0.3295 0.1362
0.6488 0.6633 0.5258
0.6621 0.6665 0.0296
0.3357 0.8427 0.3099
0.5015 0.5023 0.8125
0.8277 0.3368 0.3114
0.0066 0.5033 0.8103
0.5026 0.0079 0.8101
0.8426 0.8392 0.3108
0.1419 0.6946 0.2051
0.1669 0.1378 0.2175
0.1772 0.6479 0.7087
0.1803 0.1815 0.7050
0.3265 0.3273 0.9245
0.3655 0.8260 0.9171
0.4923 0.5341 0.4071
0.5240 0.9706 0.4172
0.6481 0.1779 0.7086
0.6675 0.6882 0.2088
0.6767 0.6775 0.7052
0.6941 0.1451 0.2061
0.8221 0.8233 0.9207
0.8246 0.3674 0.9181
0.9609 0.5270 0.4168
0.9945 0.9854 0.4235
```

Top 10 peaks for 5 to 70 degrees two-theta, by angle:
d (Å)	intensity
5.229	24
5.066	100
4.735	15
4.690	28
3.687	16
2.956	15
2.581	23
2.565	17
2.103	15
2.077	14